Entry 1:
Ti3Mo6W: calculated powder diffraction line list (Cu Kα X-rays), based on the GGA-PBE geometry in Alexandria.

Cell and atoms:
```
Ti3Mo6W
1.0
7.7065 0.0000 0.0000
0.0000 9.4509 0.0000
0.0000 0.0000 4.6992
Ti Mo W
6 12 2
Direct
0.0000 0.0000 0.0000
0.2048 0.0407 0.5000
0.2952 0.5407 0.0000
0.5000 0.5000 0.5000
0.7048 0.4593 0.0000
0.7952 0.9593 0.5000
0.0410 0.3419 0.0000
0.1084 0.7677 0.5000
0.2457 0.8216 0.0000
0.2543 0.3216 0.5000
0.3916 0.2677 0.0000
0.4590 0.8419 0.5000
0.5410 0.1581 0.5000
0.6084 0.7323 0.0000
0.7457 0.6784 0.5000
0.7543 0.1784 0.0000
0.8916 0.2323 0.5000
0.9590 0.6581 0.0000
0.0000 0.5000 0.5000
0.5000 0.0000 0.0000
```

Principal peaks in the range 10° ≤ 2θ ≤ 80°, low angle first:
14.83 deg, d = 5.973 Å, I = 54; 22.09 deg, d = 4.024 Å, I = 29; 38.31 deg, d = 2.350 Å, I = 61; 41.17 deg, d = 2.193 Å, I = 55; 41.72 deg, d = 2.165 Å, I = 100; 44.51 deg, d = 2.036 Å, I = 41


Entry 2:
RbNaZnCl4: calculated powder diffraction line list (Cu Kα X-rays), based on the GGA-PBE geometry in Alexandria.

Cell and atoms:
```
RbNaZnCl4
1.0
6.8692 0.0000 0.0000
0.0000 7.1869 0.0000
-2.6375 0.0000 8.4044
Rb Na Zn Cl
2 2 2 8
Direct
0.2447 0.2500 0.4395
0.7553 0.7500 0.5605
0.2868 0.2500 0.9503
0.7132 0.7500 0.0497
0.2650 0.7500 0.1721
0.7350 0.2500 0.8279
0.0442 0.7500 0.9242
0.0802 0.7500 0.3492
0.4909 0.5046 0.2171
0.4909 0.9954 0.2171
0.5091 0.0046 0.7829
0.5091 0.4954 0.7829
0.9198 0.2500 0.6508
0.9558 0.2500 0.0758
```

Principal peaks in the range 10° ≤ 2θ ≤ 80°, low angle first:
14.44 deg, d = 6.135 Å, I = 64; 19.02 deg, d = 4.666 Å, I = 70; 24.78 deg, d = 3.593 Å, I = 91; 31.11 deg, d = 2.875 Å, I = 91; 31.72 deg, d = 2.821 Å, I = 100; 37.13 deg, d = 2.421 Å, I = 63


Entry 3:
Ac7La12Ho: calculated powder diffraction line list (Cu Kα X-rays), based on the GGA-PBE geometry in Alexandria.

Cell and atoms:
```
Ac7La12Ho
1.0
10.1962 5.8868 2.2364
-10.1962 5.8868 2.2364
0.0000 -11.7736 2.2364
Ac La Ho
7 12 1
Direct
0.0000 0.0000 0.0000
0.1232 0.3803 0.3803
0.3803 0.1232 0.3803
0.3803 0.3803 0.1232
0.6197 0.6197 0.8768
0.6197 0.8768 0.6197
0.8768 0.6197 0.6197
0.0000 0.4047 0.5953
0.0000 0.5953 0.4047
0.0773 0.0773 0.4396
0.0773 0.4396 0.0773
0.4047 0.0000 0.5953
0.4047 0.5953 0.0000
0.4396 0.0773 0.0773
0.5604 0.9227 0.9227
0.5953 0.0000 0.4047
0.5953 0.4047 0.0000
0.9227 0.5604 0.9227
0.9227 0.9227 0.5604
0.5000 0.5000 0.5000
```

Principal peaks in the range 10° ≤ 2θ ≤ 80°, low angle first:
26.22 deg, d = 3.399 Å, I = 45; 28.53 deg, d = 3.129 Å, I = 100; 31.64 deg, d = 2.828 Å, I = 30; 32.35 deg, d = 2.768 Å, I = 29; 36.96 deg, d = 2.432 Å, I = 29; 38.10 deg, d = 2.362 Å, I = 24


Entry 4:
Pm3Ga7Ir2: calculated powder diffraction line list (Cu Kα X-rays), based on the GGA-PBE geometry in Alexandria.

Cell and atoms:
```
Pm3Ga7Ir2
1.0
4.2750 0.0000 0.0000
0.0000 4.3032 0.0000
-2.1092 0.0000 13.4122
Pm Ga Ir
3 7 2
Direct
0.0000 0.0000 0.0000
0.3194 0.5000 0.6393
0.6806 0.5000 0.3607
0.0829 0.5000 0.1669
0.2236 0.0000 0.4470
0.4182 0.0000 0.8347
0.5000 0.5000 0.0000
0.5818 0.0000 0.1653
0.7764 0.0000 0.5530
0.9171 0.5000 0.8331
0.1295 0.0000 0.2619
0.8705 0.0000 0.7381
```

Principal peaks in the range 10° ≤ 2θ ≤ 80°, low angle first:
29.64 deg, d = 3.014 Å, I = 30; 31.14 deg, d = 2.872 Å, I = 36; 33.93 deg, d = 2.642 Å, I = 100; 37.83 deg, d = 2.378 Å, I = 48; 41.99 deg, d = 2.152 Å, I = 38; 42.28 deg, d = 2.138 Å, I = 37


Entry 5:
KTiTcS3: calculated powder diffraction line list (Cu Kα X-rays), based on the GGA-PBE geometry in Alexandria.

Cell and atoms:
```
KTiTcS3
1.0
8.5338 0.0000 0.0000
0.0000 3.4185 0.0000
-3.8583 0.0000 8.7934
K Ti Tc S
2 2 2 6
Direct
0.2197 0.2500 0.2314
0.7803 0.7500 0.7686
0.3202 0.7500 0.8469
0.6798 0.2500 0.1531
0.0890 0.2500 0.6138
0.9110 0.7500 0.3862
0.1245 0.2500 0.8701
0.2186 0.7500 0.5348
0.4626 0.7500 0.1319
0.5374 0.2500 0.8681
0.7814 0.2500 0.4652
0.8755 0.7500 0.1299
```

Principal peaks in the range 10° ≤ 2θ ≤ 80°, low angle first:
11.32 deg, d = 7.815 Å, I = 27; 11.74 deg, d = 7.535 Å, I = 100; 32.31 deg, d = 2.770 Å, I = 13; 34.87 deg, d = 2.573 Å, I = 23; 38.54 deg, d = 2.336 Å, I = 12; 46.71 deg, d = 1.945 Å, I = 17


Entry 6:
TbSm2PaSb5: calculated powder diffraction line list (Cu Kα X-rays), based on the GGA-PBE geometry in Alexandria.

Cell and atoms:
```
TbSm2PaSb5
1.0
5.4659 0.0000 0.0000
0.0000 5.4659 0.0000
0.0000 0.0000 11.6475
Tb Sm Pa Sb
1 2 1 5
Direct
0.0000 0.0000 0.0000
0.5000 0.5000 0.2724
0.5000 0.5000 0.7276
0.0000 0.0000 0.5000
0.0000 0.0000 0.2467
0.0000 0.0000 0.7533
0.0000 0.5000 0.5000
0.5000 0.0000 0.5000
0.5000 0.5000 0.0000
```

Principal peaks in the range 10° ≤ 2θ ≤ 80°, low angle first:
23.01 deg, d = 3.865 Å, I = 79; 30.70 deg, d = 2.912 Å, I = 46; 32.76 deg, d = 2.734 Å, I = 100; 38.71 deg, d = 2.326 Å, I = 39; 45.52 deg, d = 1.993 Å, I = 63; 57.21 deg, d = 1.610 Å, I = 31


Entry 7:
PrNdY2Tm5: calculated powder diffraction line list (Cu Kα X-rays), based on the GGA-PBE geometry in Alexandria.

Cell and atoms:
```
PrNdY2Tm5
1.0
-4.3905 4.3905 7.5110
4.3905 -4.3905 7.5110
4.3905 4.3905 -7.5110
Pr Nd Y Tm
2 2 4 10
Direct
0.2500 0.7500 0.5000
0.7500 0.2500 0.5000
0.2500 0.2500 0.0000
0.7500 0.7500 0.0000
0.1161 0.6161 0.7322
0.3839 0.1161 0.5000
0.6161 0.8839 0.5000
0.8839 0.3839 0.2678
0.0000 0.0000 0.0000
0.0704 0.1607 0.5000
0.1607 0.6607 0.0903
0.3393 0.4296 0.5000
0.4296 0.9296 0.0903
0.5000 0.5000 0.0000
0.5704 0.0704 0.9097
0.6607 0.5704 0.5000
0.8393 0.3393 0.9097
0.9296 0.8393 0.5000
```

Principal peaks in the range 10° ≤ 2θ ≤ 80°, low angle first:
28.76 deg, d = 3.105 Å, I = 52; 28.89 deg, d = 3.090 Å, I = 39; 31.34 deg, d = 2.854 Å, I = 100; 42.90 deg, d = 2.108 Å, I = 18; 46.32 deg, d = 1.960 Å, I = 15; 52.61 deg, d = 1.740 Å, I = 23


Entry 8:
Li3ThAg3: calculated powder diffraction line list (Cu Kα X-rays), based on the GGA-PBE geometry in Alexandria.

Cell and atoms:
```
Li3ThAg3
1.0
6.6782 0.0000 0.0000
0.0000 6.6782 0.0000
0.0000 0.0000 6.6782
Li Th Ag
6 2 6
Direct
0.0000 0.2500 0.5000
0.0000 0.7500 0.5000
0.2500 0.5000 0.0000
0.5000 0.0000 0.2500
0.5000 0.0000 0.7500
0.7500 0.5000 0.0000
0.0000 0.0000 0.0000
0.5000 0.5000 0.5000
0.0000 0.5000 0.2500
0.0000 0.5000 0.7500
0.2500 0.0000 0.5000
0.5000 0.2500 0.0000
0.5000 0.7500 0.0000
0.7500 0.0000 0.5000
```

Principal peaks in the range 10° ≤ 2θ ≤ 80°, low angle first:
18.79 deg, d = 4.722 Å, I = 17; 26.70 deg, d = 3.339 Å, I = 43; 29.92 deg, d = 2.987 Å, I = 51; 32.85 deg, d = 2.726 Å, I = 100; 51.18 deg, d = 1.785 Å, I = 57; 78.44 deg, d = 1.219 Å, I = 16